Structure and theoretical PXRD pattern of MgMn6Sn6 (a structure optimized by DFT (PBE); Cu Kα).
Intensities are scaled so that the largest is 100.

Top 12 peaks for 10 to 80 degrees two-theta, by angle:
27.49°, d = 3.245 Å, rel. 43.1
32.92°, d = 2.721 Å, rel. 90.9
35.63°, d = 2.520 Å, rel. 25.6
38.19°, d = 2.357 Å, rel. 19.2
38.73°, d = 2.325 Å, rel. 64.9
40.32°, d = 2.237 Å, rel. 25.7
43.40°, d = 2.085 Å, rel. 100.0
44.85°, d = 2.021 Å, rel. 29.5
58.77°, d = 1.571 Å, rel. 18.5
67.18°, d = 1.393 Å, rel. 17.8
69.03°, d = 1.361 Å, rel. 30.6
72.25°, d = 1.308 Å, rel. 34.4

Structural model:
Cell lengths 5.4423, 5.4423, 8.9468 Å; angles 90.00, 90.00, 120.00 degrees
Fractional positions:
Mg (0.0000, 0.0000, 0.0000)
Mn (0.0000, 0.5000, 0.2488)
Mn (0.0000, 0.5000, 0.7512)
Mn (0.5000, 0.0000, 0.2488)
Mn (0.5000, 0.0000, 0.7512)
Mn (0.5000, 0.5000, 0.2488)
Mn (0.5000, 0.5000, 0.7512)
Sn (0.0000, 0.0000, 0.3236)
Sn (0.0000, 0.0000, 0.6764)
Sn (0.3333, 0.6667, 0.0000)
Sn (0.3333, 0.6667, 0.5000)
Sn (0.6667, 0.3333, 0.0000)
Sn (0.6667, 0.3333, 0.5000)

---

Structure and theoretical PXRD pattern of Hg (a structure optimized by DFT (PBE); Cu Kα).
Intensities are scaled so that the largest is 100.

Top 12 peaks for 10 to 80 degrees two-theta, by angle:
28.97°, d = 3.082 Å, rel. 20.0
30.58°, d = 2.923 Å, rel. 56.4
31.35°, d = 2.854 Å, rel. 100.0
35.01°, d = 2.563 Å, rel. 64.2
39.04°, d = 2.307 Å, rel. 31.4
41.47°, d = 2.177 Å, rel. 25.1
46.00°, d = 1.973 Å, rel. 27.1
53.87°, d = 1.702 Å, rel. 12.5
61.88°, d = 1.499 Å, rel. 22.7
63.66°, d = 1.462 Å, rel. 27.3
68.51°, d = 1.370 Å, rel. 12.3
73.85°, d = 1.283 Å, rel. 18.7

Structural model:
Cell lengths 3.4039, 7.2628, 9.2283 Å; angles 90.00, 90.00, 90.00 degrees
Fractional positions:
Hg (0.0000, 0.0000, 0.0000)
Hg (0.0000, 0.0000, 0.5000)
Hg (0.0000, 0.2878, 0.2500)
Hg (0.0000, 0.7122, 0.7500)
Hg (0.5000, 0.2122, 0.7500)
Hg (0.5000, 0.5000, 0.0000)
Hg (0.5000, 0.5000, 0.5000)
Hg (0.5000, 0.7878, 0.2500)